AcTbSm: computed X-ray powder pattern (Cu Kα), based on a structure optimized by DFT (PBE).
Kinematic intensities with the Lorentz-polarization factor, no thermal factor.

Structure:
Cell: 3.7595 3.7595 15.5723 Å, 90.00 90.00 90.00°
Space group I4mm (No. 107)
Asymmetric unit:
Ac1 0.0000 0.0000 0.0000 x2
Tb1 0.0000 0.0000 0.3289 x2
Sm1 0.0000 0.0000 0.6737 x2

Top 12 peaks for 2θ = 15–90°, low angle first:
29.3 deg, I 1000
33.7 deg, I 350
34.6 deg, I 160
48.4 deg, I 128
49.1 deg, I 241
57.6 deg, I 305
58.7 deg, I 136
60.8 deg, I 127
78.5 deg, I 63
79.5 deg, I 115
80.9 deg, I 59
81.3 deg, I 56

Ac3Tb7Sm2: computed X-ray powder pattern (Cu Kα), based on a structure optimized by DFT (PBE).
Kinematic intensities with the Lorentz-polarization factor, no thermal factor.

Structure:
Cell: 5.8985 39.0504 3.7221 Å, 90.00 90.00 90.00°
Space group Cmmm (No. 65)
Asymmetric unit:
Ac1 0.0000 0.0000 0.0000 x2
Ac2 0.0000 0.3160 0.5000 x4
Tb1 0.0000 0.0741 0.5000 x4
Tb2 0.0000 0.2299 0.0000 x4
Tb3 0.0000 0.4127 0.0000 x4
Tb4 0.0000 0.5000 0.5000 x2
Sm1 0.0000 0.1459 0.0000 x4

Top 12 peaks for 2θ = 15–90°, low angle first:
27.4 deg, I 183
29.4 deg, I 335
30.2 deg, I 244
30.3 deg, I 543
30.6 deg, I 1000
32.7 deg, I 325
33.5 deg, I 220
43.3 deg, I 186
48.9 deg, I 146
54.0 deg, I 207
57.6 deg, I 138
58.7 deg, I 170

Ac3Tb2Sm5: computed X-ray powder pattern (Cu Kα), based on a structure optimized by DFT (PBE).
Kinematic intensities with the Lorentz-polarization factor, no thermal factor.

Structure:
Cell: 9.0944 9.7379 10.3017 Å, 104.06 114.08 104.92°
Space group P-1 (No. 2)
Asymmetric unit:
Ac1 0.0279 0.1753 0.4571 x2
Ac2 0.1883 0.1983 0.1616 x2
Ac3 0.2234 0.5256 0.0291 x2
Tb1 0.2803 0.8671 0.9387 x2
Tb2 0.4801 0.2645 0.5721 x2
Sm1 0.0930 0.5220 0.3697 x2
Sm2 0.1547 0.8646 0.2744 x2
Sm3 0.3262 0.2070 0.8487 x2
Sm4 0.3703 0.5548 0.7477 x2
Sm5 0.4262 0.9142 0.6755 x2

Top 12 peaks for 2θ = 15–90°, low angle first:
28.4 deg, I 514
29.2 deg, I 285
29.7 deg, I 664
30.1 deg, I 1000
30.4 deg, I 979
31.0 deg, I 419
31.2 deg, I 651
31.6 deg, I 804
32.1 deg, I 451
46.2 deg, I 261
55.1 deg, I 284
59.4 deg, I 288

AcTb9Sm2: computed X-ray powder pattern (Cu Kα), based on a structure optimized by DFT (PBE).
Kinematic intensities with the Lorentz-polarization factor, no thermal factor.

Structure:
Cell: 5.0974 5.0974 15.3163 Å, 90.00 90.00 90.00°
Space group P4/mmm (No. 123)
Asymmetric unit:
Ac1 0.0000 0.0000 0.0000 x1
Tb1 0.0000 0.5000 0.1725 x4
Tb2 0.0000 0.5000 0.5000 x2
Tb3 0.5000 0.5000 0.0000 x1
Tb4 0.5000 0.5000 0.3363 x2
Sm1 0.0000 0.0000 0.3352 x2

Top 11 peaks for 2θ = 15–90°, low angle first:
27.3 deg, I 5
30.4 deg, I 1000
35.2 deg, I 507
50.6 deg, I 361
60.2 deg, I 428
63.2 deg, I 123
74.3 deg, I 18
74.5 deg, I 39
82.4 deg, I 175
85.0 deg, I 107
85.1 deg, I 56

Ac12TbSm7: computed X-ray powder pattern (Cu Kα), based on a structure optimized by DFT (PBE).
Kinematic intensities with the Lorentz-polarization factor, no thermal factor.

Structure:
Cell: 20.7968 20.7968 6.6672 Å, 90.00 90.00 120.00°
Space group R-3m (No. 166, hexagonal axes)
Asymmetric unit:
Ac1 0.0000 0.4125 0.0000 x18
Ac2 0.1029 0.5514 0.4836 x18
Tb1 0.0000 0.0000 0.5000 x3
Sm1 0.0000 0.0000 0.0000 x3
Sm2 0.0807 0.1614 0.3124 x18

Top 12 peaks for 2θ = 15–90°, low angle first:
22.2 deg, I 230
25.4 deg, I 347
25.7 deg, I 440
28.2 deg, I 1000
28.6 deg, I 624
30.7 deg, I 576
31.0 deg, I 487
36.7 deg, I 352
37.5 deg, I 250
43.5 deg, I 337
44.5 deg, I 394
55.0 deg, I 238

Ac2TbSm: computed X-ray powder pattern (Cu Kα), based on a structure optimized by DFT (PBE).
Kinematic intensities with the Lorentz-polarization factor, no thermal factor.

Structure:
Cell: 3.8223 3.8223 36.5096 Å, 90.00 90.00 120.00°
Space group R3m (No. 160, hexagonal axes)
Asymmetric unit:
Ac1 0.0000 0.0000 0.0000 x3
Ac2 0.0000 0.0000 0.1677 x3
Tb1 0.0000 0.0000 0.5848 x3
Sm1 0.0000 0.0000 0.4164 x3

Top 12 peaks for 2θ = 15–90°, low angle first:
27.4 deg, I 320
29.4 deg, I 473
29.6 deg, I 1000
32.0 deg, I 775
36.6 deg, I 176
47.6 deg, I 384
50.7 deg, I 242
55.3 deg, I 159
56.9 deg, I 454
57.1 deg, I 162
58.5 deg, I 143
80.7 deg, I 167

Ac6Tb5Sm2: computed X-ray powder pattern (Cu Kα), based on a structure optimized by DFT (PBE).
Kinematic intensities with the Lorentz-polarization factor, no thermal factor.

Structure:
Cell: 11.3750 23.6992 3.7508 Å, 90.00 90.00 90.00°
Space group Pbam (No. 55)
Asymmetric unit:
Ac1 0.0213 0.1117 0.0000 x4
Ac2 0.1491 0.3869 0.0000 x4
Ac3 0.1649 0.6322 0.5000 x4
Tb1 0.0000 0.5000 0.5000 x2
Tb2 0.0876 0.2504 0.5000 x4
Tb3 0.1656 0.9960 0.5000 x4
Sm1 0.1623 0.7684 0.0000 x4

Top 12 peaks for 2θ = 15–90°, low angle first:
26.1 deg, I 700
28.2 deg, I 211
30.2 deg, I 1000
30.7 deg, I 661
32.3 deg, I 222
33.8 deg, I 262
34.3 deg, I 302
47.4 deg, I 162
48.6 deg, I 283
54.8 deg, I 221
55.9 deg, I 199
58.2 deg, I 320

AcTb4Sm15: computed X-ray powder pattern (Cu Kα), based on a structure optimized by DFT (PBE).
Kinematic intensities with the Lorentz-polarization factor, no thermal factor.

Structure:
Cell: 5.1375 5.1375 25.6963 Å, 90.00 90.00 90.00°
Space group P4/mmm (No. 123)
Asymmetric unit:
Ac1 0.0000 0.0000 0.0000 x1
Tb1 0.0000 0.0000 0.2030 x2
Tb2 0.0000 0.0000 0.4011 x2
Sm1 0.0000 0.5000 0.1047 x4
Sm2 0.0000 0.5000 0.3023 x4
Sm3 0.0000 0.5000 0.5000 x2
Sm4 0.5000 0.5000 0.0000 x1
Sm5 0.5000 0.5000 0.2041 x2
Sm6 0.5000 0.5000 0.4012 x2

Top 9 peaks for 2θ = 15–90°, low angle first:
30.1 deg, I 1000
34.9 deg, I 506
50.2 deg, I 359
59.7 deg, I 425
62.6 deg, I 122
73.8 deg, I 56
81.7 deg, I 111
81.7 deg, I 59
84.3 deg, I 159

Ac12TbSm5: computed X-ray powder pattern (Cu Kα), based on a structure optimized by DFT (PBE).
Kinematic intensities with the Lorentz-polarization factor, no thermal factor.

Structure:
Cell: 6.7453 11.6869 18.9279 Å, 90.00 96.77 90.00°
Space group C2/m (No. 12)
Asymmetric unit:
Ac1 0.1131 0.0000 0.3380 x4
Ac2 0.1131 0.3333 0.3381 x8
Ac3 0.2195 0.1663 0.1616 x8
Ac4 0.2207 0.5000 0.1616 x4
Tb1 0.0000 0.0000 0.0000 x2
Sm1 0.0000 0.1668 0.5000 x4
Sm2 0.0000 0.3334 0.0000 x4
Sm3 0.0000 0.5000 0.5000 x2

Top 12 peaks for 2θ = 15–90°, low angle first:
27.6 deg, I 1000
28.5 deg, I 738
28.7 deg, I 452
29.4 deg, I 739
30.9 deg, I 708
31.8 deg, I 222
33.7 deg, I 552
45.8 deg, I 267
46.6 deg, I 605
53.0 deg, I 167
55.6 deg, I 708
78.3 deg, I 178

AcTbSm5Y2: computed X-ray powder pattern (Cu Kα), based on a structure optimized by DFT (PBE).
Kinematic intensities with the Lorentz-polarization factor, no thermal factor.

Structure:
Cell: 5.8248 17.5465 12.1390 Å, 90.00 90.00 90.00°
Space group Cmc2_1 (No. 36)
Asymmetric unit:
Ac1 0.0000 0.1140 0.0000 x4
Tb1 0.0000 0.2488 0.4997 x4
Sm1 0.0000 0.0792 0.3379 x4
Sm2 0.0000 0.0803 0.6634 x4
Sm3 0.0000 0.2671 0.7948 x4
Sm4 0.0000 0.2679 0.2050 x4
Sm5 0.0000 0.4387 0.6476 x4
Y1 0.0000 0.3872 0.9994 x4
Y2 0.0000 0.4379 0.3514 x4

Top 12 peaks for 2θ = 15–90°, low angle first:
29.7 deg, I 76
30.6 deg, I 351
30.7 deg, I 338
30.9 deg, I 1000
31.2 deg, I 86
43.9 deg, I 170
44.8 deg, I 68
54.6 deg, I 88
54.7 deg, I 216
55.3 deg, I 114
61.1 deg, I 77
61.8 deg, I 80

Ac4SmTe6: computed X-ray powder pattern (Cu Kα), based on a structure optimized by DFT (PBE).
Kinematic intensities with the Lorentz-polarization factor, no thermal factor.

Structure:
Cell: 13.1291 13.1291 15.7983 Å, 90.00 90.00 120.00°
Space group R-3c (No. 167, hexagonal axes)
Asymmetric unit:
Ac1 0.0000 0.0000 0.2500 x6
Ac2 0.0000 0.3892 0.2500 x18
Sm1 0.0000 0.0000 0.0000 x6
Te1 0.0325 0.2064 0.3864 x36

Top 12 peaks for 2θ = 15–90°, low angle first:
21.6 deg, I 264
23.5 deg, I 678
27.5 deg, I 571
28.9 deg, I 1000
30.7 deg, I 736
32.1 deg, I 889
35.3 deg, I 261
36.2 deg, I 433
41.5 deg, I 425
58.0 deg, I 297
61.8 deg, I 353
62.3 deg, I 231

Ac2SmTmTe5: computed X-ray powder pattern (Cu Kα), based on a structure optimized by DFT (PBE).
Kinematic intensities with the Lorentz-polarization factor, no thermal factor.

Structure:
Cell: 5.4579 5.4579 11.7431 Å, 90.00 90.00 90.00°
Space group P4/mmm (No. 123)
Asymmetric unit:
Ac1 0.0000 0.0000 0.2028 x2
Sm1 0.5000 0.5000 0.5000 x1
Tm1 0.5000 0.5000 0.0000 x1
Te1 0.0000 0.0000 0.5000 x1
Te2 0.0000 0.5000 0.0000 x2
Te3 0.5000 0.5000 0.2516 x2

Top 12 peaks for 2θ = 15–90°, low angle first:
22.2 deg, I 261
23.0 deg, I 997
27.7 deg, I 289
28.1 deg, I 381
30.4 deg, I 390
32.6 deg, I 508
32.8 deg, I 1000
38.5 deg, I 252
43.7 deg, I 234
45.4 deg, I 521
47.1 deg, I 367
57.1 deg, I 263